Computed powder diffractogram
Compound: BaOsRh2O8
Radiation: a wavelength of 1.5418 Å
Structure: a DFT-relaxed cell (PBE, Alexandria)

Principal peaks in the range 10° ≤ 2θ ≤ 80°, most intense first:
d 3.423, intensity 100, (1 1 0)
d 2.827, intensity 90, (1 0 2)
d 3.294, intensity 83, (1 -1 0)
d 2.705, intensity 46, (1 0 -2)
d 2.724, intensity 39, (0 1 -2)
d 2.391, intensity 27, (0 2 0)
d 1.867, intensity 20, (2 1 2)
d 2.356, intensity 20, (2 0 0)

Crystal structure
```
data_BaOsRh2O8
_cell_length_a 4.7211
_cell_length_b 4.7896
_cell_length_c 6.8320
_cell_angle_alpha 87.54
_cell_angle_beta 87.30
_cell_angle_gamma 87.70
_space_group_name_H-M_alt 'P -1'
_space_group_IT_number 2
_space_group_name_Hall '-P 1'
loop_
_atom_site_label
_atom_site_fract_x
_atom_site_fract_y
_atom_site_fract_z
Ba1 0.0000 0.0000 0.0000
Os1 0.0000 0.0000 0.5000
Rh1 0.4971 0.4966 0.7430
O1 0.2098 0.8000 0.6933
O2 0.2353 0.8267 0.3030
O3 0.2740 0.3082 0.5021
O4 0.2911 0.4055 0.0212
```

Computed powder diffractogram
Compound: Sc6TiTl5
Radiation: a wavelength of 1.5418 Å
Structure: a DFT-relaxed cell (PBE, Alexandria)

Principal peaks in the range 10° ≤ 2θ ≤ 80°, most intense first:
d 2.527, intensity 100, (2 0 0)
d 3.577, intensity 50, (0 2 0)
d 1.457, intensity 21, (2 4 0)
d 2.540, intensity 19, (0 0 6)
d 1.599, intensity 15, (1 4 3)
d 1.790, intensity 13, (2 0 6)
d 1.464, intensity 13, (1 2 9)
d 2.070, intensity 9, (0 2 6)

Crystal structure
```
data_Sc6TiTl5
_cell_length_a 5.0441
_cell_length_b 7.1437
_cell_length_c 15.2394
_cell_angle_alpha 90.00
_cell_angle_beta 90.00
_cell_angle_gamma 90.00
_space_group_name_H-M_alt 'I m m m'
_space_group_IT_number 71
_space_group_name_Hall '-I 2 2'
loop_
_atom_site_label
_atom_site_fract_x
_atom_site_fract_y
_atom_site_fract_z
Sc1 0.0000 0.2453 0.0000
Sc2 0.0000 0.2498 0.3328
Ti1 0.0000 0.0000 0.5000
Tl1 0.0000 0.0000 0.1682
Tl2 0.0000 0.5000 0.1540
Tl3 0.0000 0.5000 0.5000
```